Calculated PXRD pattern of KDyBeF6 for Cu Kα, 1.54184 Å, from a cell relaxed with PBE.
Lines closer than 0.1° are merged.

Atomic structure:
```
KDyBeF6
1.0
6.4252 0.0000 0.0000
0.0000 5.8624 0.0000
-2.8027 0.0000 6.5696
K Dy Be F
2 2 2 12
direct
0.0720 0.2500 0.2027
0.9280 0.7500 0.7973
0.3898 0.2500 0.8221
0.6102 0.7500 0.1779
0.2317 0.7500 0.4629
0.7683 0.2500 0.5371
0.0086 0.7500 0.2655
0.2360 0.5346 0.5940
0.2360 0.9654 0.5940
0.3188 0.5021 0.0327
0.3188 0.9979 0.0327
0.4397 0.7500 0.4056
0.5603 0.2500 0.5944
0.6812 0.0021 0.9673
0.6812 0.4979 0.9673
0.7640 0.0346 0.4060
0.7640 0.4654 0.4060
0.9914 0.2500 0.7345
```

The 6 most intense peaks (2θ from 15° to 90°), in order of falling intensity:
28.4 deg, I 100
20.3 deg, I 93
15.8 deg, I 82
29.6 deg, I 78
21.3 deg, I 42
27.8 deg, I 38



Calculated PXRD pattern of Th7C5 for Cu Kα, 1.54184 Å, from a cell relaxed with PBE.
Lines closer than 0.1° are merged.

Atomic structure:
```
Th7C5
1.0
6.1528 -1.8299 0.0000
6.1528 1.8299 0.0000
-2.8786 0.0000 11.1831
Th C
7 5
direct
0.0000 0.0000 0.0000
0.1561 0.1561 0.5630
0.2404 0.2404 0.8616
0.4693 0.4693 0.7149
0.5307 0.5307 0.2851
0.7596 0.7596 0.1384
0.8439 0.8439 0.4370
0.1789 0.1789 0.3546
0.3675 0.3675 0.0668
0.5000 0.5000 0.5000
0.6325 0.6325 0.9332
0.8211 0.8211 0.6454
```

The 6 most intense peaks (2θ from 15° to 90°), in order of falling intensity:
29.1 deg, I 100
31.3 deg, I 81
31.8 deg, I 80
31.1 deg, I 64
34.5 deg, I 47
27.3 deg, I 44



Calculated PXRD pattern of PrScBi3 for Cu Kα, 1.54184 Å, from a cell relaxed with PBE.
Lines closer than 0.1° are merged.

Atomic structure:
```
PrScBi3
1.0
13.9134 0.0000 0.0000
0.0000 6.4922 0.0000
0.0000 0.0000 6.7198
Pr Sc Bi
4 4 12
direct
0.1826 0.0120 0.2500
0.1826 0.4880 0.7500
0.8174 0.5120 0.2500
0.8174 0.9880 0.7500
0.4025 0.7500 0.0000
0.4025 0.7500 0.5000
0.5975 0.2500 0.0000
0.5975 0.2500 0.5000
0.0032 0.7500 0.0000
0.0032 0.7500 0.5000
0.2582 0.5027 0.2500
0.2582 0.9973 0.7500
0.4266 0.1294 0.2500
0.4266 0.3706 0.7500
0.5734 0.6294 0.2500
0.5734 0.8706 0.7500
0.7418 0.0027 0.2500
0.7418 0.4973 0.7500
0.9968 0.2500 0.0000
0.9968 0.2500 0.5000
```

The 6 most intense peaks (2θ from 15° to 90°), in order of falling intensity:
30.4 deg, I 100
32.1 deg, I 96
27.1 deg, I 87
38.6 deg, I 66
29.5 deg, I 61
65.2 deg, I 45



Calculated PXRD pattern of Ge3N4 for Cu Kα, 1.54184 Å, from a cell relaxed with PBE.
Lines closer than 0.1° are merged.

Atomic structure:
```
Ge3N4
1.0
8.2931 0.0000 0.0000
-4.1466 7.1821 0.0000
0.0000 0.0000 5.9981
Ge N
12 16
direct
0.0827 0.5112 0.0000
0.0858 0.8324 0.2958
0.1676 0.2534 0.2958
0.2534 0.1676 0.7958
0.4285 0.9173 0.0000
0.4888 0.5715 0.0000
0.5112 0.0827 0.5000
0.5715 0.4888 0.5000
0.7466 0.9142 0.2958
0.8324 0.0858 0.7958
0.9142 0.7466 0.7958
0.9173 0.4285 0.5000
0.0000 0.0000 0.2973
0.0000 0.0000 0.7973
0.0042 0.6839 0.0418
0.0447 0.3883 0.2722
0.3161 0.3203 0.0418
0.3203 0.3161 0.5418
0.3333 0.6667 0.9382
0.3436 0.9553 0.2722
0.3883 0.0447 0.7722
0.6117 0.6564 0.2722
0.6564 0.6117 0.7722
0.6667 0.3333 0.4382
0.6797 0.9958 0.0418
0.6839 0.0042 0.5418
0.9553 0.3436 0.7722
0.9958 0.6797 0.5418
```

The 6 most intense peaks (2θ from 15° to 90°), in order of falling intensity:
36.3 deg, I 100
33.0 deg, I 94
32.3 deg, I 88
29.0 deg, I 84
19.3 deg, I 71
39.1 deg, I 66



Calculated PXRD pattern of Zn2CdTe3 for Cu Kα, 1.54184 Å, from a cell relaxed with PBE.
Lines closer than 0.1° are merged.

Atomic structure:
```
Zn2CdTe3
1.0
3.8687 -6.7148 0.0000
3.8687 6.7148 0.0000
-2.5501 0.0000 7.2897
Zn Cd Te
4 2 6
direct
0.0828 0.9172 0.5000
0.2457 0.7531 0.9988
0.7531 0.2457 0.4988
0.9172 0.0828 0.0000
0.4141 0.5868 0.5006
0.5868 0.4141 0.0006
0.1080 0.6273 0.6297
0.2731 0.4569 0.1110
0.4569 0.2731 0.6110
0.6273 0.1080 0.1297
0.8088 0.9730 0.6315
0.9730 0.8088 0.1315
```

The 6 most intense peaks (2θ from 15° to 90°), in order of falling intensity:
24.4 deg, I 100
40.3 deg, I 49
47.7 deg, I 30
40.4 deg, I 25
47.8 deg, I 16
73.3 deg, I 11



Calculated PXRD pattern of PmY2Er4 for Cu Kα, 1.54184 Å, from a cell relaxed with PBE.
Lines closer than 0.1° are merged.

Atomic structure:
```
PmY2Er4
1.0
16.6325 0.0000 0.0000
0.0000 3.5116 0.0000
-4.2991 0.0000 7.5935
Pm Y Er
2 4 8
direct
0.0000 0.0000 0.0000
0.5000 0.5000 0.0000
0.0706 0.0000 0.4304
0.4294 0.5000 0.5696
0.5706 0.5000 0.4304
0.9294 0.0000 0.5696
0.1434 0.5000 0.8366
0.2055 0.5000 0.2931
0.2945 0.0000 0.7069
0.3566 0.0000 0.1634
0.6434 0.0000 0.8366
0.7055 0.0000 0.2931
0.7945 0.5000 0.7069
0.8566 0.5000 0.1634
```

The 6 most intense peaks (2θ from 15° to 90°), in order of falling intensity:
31.5 deg, I 100
33.2 deg, I 49
31.6 deg, I 43
33.0 deg, I 40
30.2 deg, I 40
62.2 deg, I 26